This entry pairs a crystal structure of CrIr2O6 with its simulated X-ray diffraction stick pattern. Radiation: Cu Kα. Structure: DFT lattice parameters and positions (GGA+U).

The 8 most intense peaks (2θ = 5–70°), by intensity:
h k l, 2theta, d_spacing, I_rel
1 1 1, 29.06, 3.072, 100.0
3 0 0, 35.63, 2.520, 39.1
3 0 2, 56.03, 1.641, 32.6
2 2 1, 46.62, 1.948, 27.0
4 1 1, 60.03, 1.541, 24.7
1 1 0, 20.35, 4.364, 19.1
3 3 0, 64.01, 1.455, 11.9
1 1 3, 68.53, 1.369, 9.0

Atomic structure:
Cell: 8.728 8.728 4.326 Å, 90.00 90.00 120.00°
Atoms (fractional coordinates):
1 Cr 0.000 0.000 0.000
2 Cr 0.333 0.667 0.496
3 Cr 0.667 0.333 0.504
4 Ir 0.000 0.345 0.000
5 Ir 0.000 0.679 0.500
6 Ir 0.321 0.321 0.500
7 Ir 0.345 0.000 0.000
8 Ir 0.655 0.655 0.000
9 Ir 0.679 0.000 0.500
10 O 0.105 0.221 0.238
11 O 0.113 0.570 0.250
12 O 0.116 0.895 0.238
13 O 0.216 0.446 0.738
14 O 0.221 0.105 0.762
15 O 0.230 0.784 0.738
16 O 0.430 0.543 0.250
17 O 0.446 0.216 0.262
18 O 0.457 0.887 0.250
19 O 0.543 0.430 0.750
20 O 0.554 0.770 0.738
21 O 0.570 0.113 0.750
22 O 0.770 0.554 0.262
23 O 0.779 0.884 0.238
24 O 0.784 0.230 0.262
25 O 0.884 0.779 0.762
26 O 0.887 0.457 0.750
27 O 0.895 0.116 0.762